# CeY3Zn8
Calculated X-ray diffraction stick pattern, CuKα. Input: the PBE geometry in Alexandria.
No peak broadening, texture or thermal motion is included.

Structural model:
Cell lengths 9.488, 9.488, 9.488 Å; angles 33.56, 33.56, 33.56 degrees
Fractional positions:
Ce (0.000, 0.000, 0.000)
Y (0.123, 0.123, 0.123)
Y (0.501, 0.501, 0.501)
Y (0.627, 0.627, 0.627)
Zn (0.063, 0.063, 0.560)
Zn (0.063, 0.560, 0.063)
Zn (0.066, 0.563, 0.563)
Zn (0.313, 0.313, 0.313)
Zn (0.560, 0.063, 0.063)
Zn (0.563, 0.066, 0.563)
Zn (0.563, 0.563, 0.066)
Zn (0.813, 0.813, 0.813)

The 10 most intense peaks (2θ from 15° to 90°), in order of rising 2θ:
2θ (°)  intensity
32.7  40
38.5  100
40.3  29
46.9  1
58.4  15
62.3  31
68.5  25
78.0  6
81.5  10
82.6  10


# K2TeH6SeO10
Calculated X-ray diffraction stick pattern, CuKα. Input: the PBE geometry in Alexandria.
No peak broadening, texture or thermal motion is included.

Structural model:
Cell lengths 6.694, 6.694, 14.154 Å; angles 104.21, 104.21, 58.72 degrees
Fractional positions:
K (0.050, 0.650, 0.863)
K (0.350, 0.950, 0.637)
K (0.650, 0.050, 0.363)
K (0.950, 0.350, 0.137)
Te (0.000, 0.500, 0.500)
Te (0.500, 0.000, 0.000)
H (0.093, 0.124, 0.388)
H (0.124, 0.093, 0.888)
H (0.143, 0.547, 0.365)
H (0.389, 0.422, 0.071)
H (0.422, 0.389, 0.571)
H (0.453, 0.857, 0.135)
H (0.547, 0.143, 0.865)
H (0.578, 0.611, 0.429)
H (0.611, 0.578, 0.929)
H (0.857, 0.453, 0.635)
H (0.876, 0.907, 0.112)
H (0.907, 0.876, 0.612)
Se (0.284, 0.716, 0.250)
Se (0.716, 0.284, 0.750)
O (0.011, 0.440, 0.630)
O (0.013, 0.790, 0.559)
O (0.018, 0.744, 0.201)
O (0.210, 0.987, 0.941)
O (0.256, 0.982, 0.299)
O (0.318, 0.344, 0.014)
O (0.344, 0.318, 0.514)
O (0.397, 0.537, 0.337)
O (0.440, 0.011, 0.130)
O (0.463, 0.603, 0.163)
O (0.537, 0.397, 0.837)
O (0.560, 0.989, 0.870)
O (0.603, 0.463, 0.663)
O (0.656, 0.682, 0.486)
O (0.682, 0.656, 0.986)
O (0.744, 0.018, 0.701)
O (0.790, 0.013, 0.059)
O (0.982, 0.256, 0.799)
O (0.987, 0.210, 0.441)
O (0.989, 0.560, 0.370)

The 10 most intense peaks (2θ from 15° to 90°), in order of rising 2θ:
2θ (°)  intensity
17.5  24
17.8  55
23.3  100
26.6  41
27.2  15
36.1  15
38.5  15
45.0  11
45.1  10
47.7  15


# Na7Ag
Calculated X-ray diffraction stick pattern, CuKα. Input: the PBE geometry in Alexandria.
No peak broadening, texture or thermal motion is included.

Structural model:
Cell lengths 9.800, 9.800, 9.800 Å; angles 33.35, 33.35, 33.35 degrees
Fractional positions:
Na (0.000, 0.000, 0.000)
Na (0.133, 0.133, 0.133)
Na (0.250, 0.250, 0.250)
Na (0.386, 0.386, 0.386)
Na (0.614, 0.614, 0.614)
Na (0.750, 0.750, 0.750)
Na (0.867, 0.867, 0.867)
Ag (0.500, 0.500, 0.500)

The 10 most intense peaks (2θ from 15° to 90°), in order of rising 2θ:
2θ (°)  intensity
18.5  40
19.3  34
22.3  25
31.7  94
31.8  100
33.3  22
37.5  17
43.6  16
45.5  33
56.6  50


# Mg7HgAu2
Calculated X-ray diffraction stick pattern, CuKα. Input: the PBE geometry in Alexandria.
No peak broadening, texture or thermal motion is included.

Structural model:
Cell lengths 4.716, 4.716, 11.276 Å; angles 90.00, 90.00, 120.00 degrees
Fractional positions:
Mg (0.000, 0.000, 0.000)
Mg (0.000, 0.000, 0.257)
Mg (0.000, 0.000, 0.530)
Mg (0.333, 0.667, 0.135)
Mg (0.333, 0.667, 0.697)
Mg (0.667, 0.333, 0.368)
Mg (0.667, 0.333, 0.850)
Hg (0.333, 0.667, 0.425)
Au (0.000, 0.000, 0.766)
Au (0.667, 0.333, 0.111)

The 10 most intense peaks (2θ from 15° to 90°), in order of rising 2θ:
2θ (°)  intensity
23.2  100
23.7  34
27.0  48
38.2  54
38.8  49
45.1  18
45.4  38
55.6  17
60.5  15
69.4  18


# Ba2Ti3AlO7
Calculated X-ray diffraction stick pattern, CuKα. Input: the PBE geometry in Alexandria.
No peak broadening, texture or thermal motion is included.

Structural model:
Cell lengths 3.914, 3.976, 11.494 Å; angles 90.00, 90.00, 90.00 degrees
Fractional positions:
Ba (0.000, 0.000, 0.182)
Ba (0.000, 0.000, 0.818)
Ti (0.500, 0.500, 0.000)
Ti (0.500, 0.500, 0.378)
Ti (0.500, 0.500, 0.622)
Al (0.000, 0.000, 0.500)
O (0.000, 0.500, 0.380)
O (0.000, 0.500, 0.620)
O (0.500, 0.000, 0.000)
O (0.500, 0.000, 0.382)
O (0.500, 0.000, 0.618)
O (0.500, 0.500, 0.171)
O (0.500, 0.500, 0.829)

The 10 most intense peaks (2θ from 15° to 90°), in order of rising 2θ:
2θ (°)  intensity
27.6  39
32.1  100
32.5  77
32.7  91
39.2  32
40.0  49
45.6  38
46.4  35
57.3  35
57.8  30


# Pr5Dy4In
Calculated X-ray diffraction stick pattern, CuKα. Input: the PBE geometry in Alexandria.
No peak broadening, texture or thermal motion is included.

Structural model:
Cell lengths 4.225, 4.225, 18.416 Å; angles 90.00, 90.00, 90.00 degrees
Fractional positions:
Pr (0.000, 0.000, 0.000)
Pr (0.000, 0.000, 0.205)
Pr (0.000, 0.000, 0.410)
Pr (0.000, 0.000, 0.590)
Pr (0.000, 0.000, 0.795)
Dy (0.500, 0.500, 0.102)
Dy (0.500, 0.500, 0.307)
Dy (0.500, 0.500, 0.693)
Dy (0.500, 0.500, 0.898)
In (0.500, 0.500, 0.500)

The 10 most intense peaks (2θ from 15° to 90°), in order of rising 2θ:
2θ (°)  intensity
29.9  63
32.2  100
42.8  24
54.6  45
58.9  16
62.1  8
67.5  11
70.5  11
71.7  10
87.3  12


# Hf5AlPb2
Calculated X-ray diffraction stick pattern, CuKα. Input: the PBE geometry in Alexandria.
No peak broadening, texture or thermal motion is included.

Structural model:
Cell lengths 7.311, 10.808, 4.534 Å; angles 90.00, 90.00, 90.00 degrees
Fractional positions:
Hf (0.000, 0.000, 0.000)
Hf (0.176, 0.274, 0.000)
Hf (0.197, 0.555, 0.500)
Hf (0.303, 0.055, 0.500)
Hf (0.324, 0.774, 0.000)
Hf (0.500, 0.500, 0.000)
Hf (0.676, 0.226, 0.000)
Hf (0.697, 0.945, 0.500)
Hf (0.803, 0.445, 0.500)
Hf (0.824, 0.726, 0.000)
Al (0.000, 0.500, 0.000)
Al (0.500, 0.000, 0.000)
Pb (0.065, 0.818, 0.500)
Pb (0.435, 0.318, 0.500)
Pb (0.565, 0.682, 0.500)
Pb (0.935, 0.182, 0.500)

The 10 most intense peaks (2θ from 15° to 90°), in order of rising 2θ:
2θ (°)  intensity
32.5  78
34.1  73
35.4  36
35.7  100
37.8  19
39.8  51
54.3  21
56.4  19
57.0  17
69.5  16


# RbBi4Pt4
Calculated X-ray diffraction stick pattern, CuKα. Input: the PBE geometry in Alexandria.
No peak broadening, texture or thermal motion is included.

Structural model:
Cell lengths 9.509, 9.509, 5.602 Å; angles 90.00, 90.00, 90.00 degrees
Fractional positions:
Rb (0.250, 0.250, 0.250)
Rb (0.750, 0.750, 0.750)
Bi (0.115, 0.624, 0.153)
Bi (0.124, 0.885, 0.653)
Bi (0.376, 0.615, 0.653)
Bi (0.385, 0.876, 0.153)
Bi (0.615, 0.124, 0.847)
Bi (0.624, 0.385, 0.347)
Bi (0.876, 0.115, 0.347)
Bi (0.885, 0.376, 0.847)
Pt (0.081, 0.582, 0.656)
Pt (0.082, 0.919, 0.156)
Pt (0.418, 0.581, 0.156)
Pt (0.419, 0.918, 0.656)
Pt (0.581, 0.082, 0.344)
Pt (0.582, 0.419, 0.844)
Pt (0.918, 0.081, 0.844)
Pt (0.919, 0.418, 0.344)

The 10 most intense peaks (2θ from 15° to 90°), in order of rising 2θ:
2θ (°)  intensity
18.7  25
29.7  100
33.3  70
37.7  26
37.8  38
40.2  38
42.4  18
43.1  78
51.3  26
58.7  32